Diffraction record for PrTmNi10. The powder diffractogram is computed, not measured: it uses DFT lattice parameters and positions (GGA-PBE) and copper Kα.
Intensities are scaled so that the largest is 100.

Main lines, sorted by position (10 to 90 degrees two-theta):
2θ/deg	d (Å)	Rel. int.
30.83	2.900	50
36.57	2.457	32
42.48	2.128	35
43.33	2.088	100
45.80	1.981	27
64.24	1.450	20
70.51	1.336	22
77.73	1.229	15

Structural model:
abc: 3.9622 4.9142 8.5126
angles: 90.00 90.00 90.00
Positions (direct):
Pr1 0.0000 0.0000 0.0000
Tm1 0.0000 0.5000 0.5000
Ni1 0.0000 0.0000 0.3393
Ni2 0.0000 0.0000 0.6607
Ni3 0.0000 0.5000 0.1737
Ni4 0.0000 0.5000 0.8263
Ni5 0.5000 0.0000 0.5000
Ni6 0.5000 0.2531 0.2559
Ni7 0.5000 0.2531 0.7441
Ni8 0.5000 0.5000 0.0000
Ni9 0.5000 0.7469 0.2559
Ni10 0.5000 0.7469 0.7441